No. 1
Theoretical X-ray powder pattern of Dy2Al4ZnIr3 for Cu Ka, from a DFT-relaxed cell (PBE, Alexandria).
Neutral-atom scattering factors, no anomalous dispersion.

Top 10 peaks for 2θ = 15–90°, sorted by position:
2θ/deg	I_rel
24.2	37
27.3	38
31.1	27
32.2	47
32.9	75
35.2	100
44.6	60
46.9	47
56.5	32
66.7	33

Atomic structure:
Lattice parameters (Å, degrees): 4.062 4.062 11.020 90.00 90.00 90.00
Fractional positions:
Dy  0.000  0.500  0.243
Dy  0.500  0.000  0.757
Al  0.000  0.000  0.000
Al  0.000  0.500  0.635
Al  0.500  0.000  0.365
Al  0.500  0.500  0.000
Zn  0.000  0.000  0.500
Ir  0.000  0.500  0.862
Ir  0.500  0.000  0.138
Ir  0.500  0.500  0.500

***

No. 2
Theoretical X-ray powder pattern of LaDy3Al8 for Cu Ka, from a DFT-relaxed cell (PBE, Alexandria).
Neutral-atom scattering factors, no anomalous dispersion.

Top 10 peaks for 2θ = 15–90°, sorted by position:
2θ/deg	I_rel
18.3	40
19.3	19
20.7	33
32.0	74
34.6	100
37.6	66
38.4	31
58.6	42
63.4	19
77.4	19

Atomic structure:
Lattice parameters (Å, degrees): 5.601 5.601 9.216 90.00 90.00 120.00
Fractional positions:
La  0.000  0.000  0.000
Dy  0.000  0.000  0.363
Dy  0.667  0.333  0.498
Dy  0.667  0.333  0.863
Al  0.162  0.324  0.678
Al  0.162  0.838  0.678
Al  0.333  0.667  0.435
Al  0.333  0.667  0.930
Al  0.505  0.009  0.188
Al  0.505  0.495  0.188
Al  0.676  0.838  0.678
Al  0.991  0.495  0.188

***

No. 3
Theoretical X-ray powder pattern of LaDy2Al6 for Cu Ka, from a DFT-relaxed cell (PBE, Alexandria).
Neutral-atom scattering factors, no anomalous dispersion.

Top 10 peaks for 2θ = 15–90°, sorted by position:
2θ/deg	I_rel
22.3	67
24.8	10
33.6	100
39.1	43
45.5	11
46.9	12
52.5	28
56.1	11
65.9	19
67.4	26

Atomic structure:
Lattice parameters (Å, degrees): 7.972 7.972 3.595 90.00 90.00 120.00
Fractional positions:
La  0.000  0.000  0.000
Dy  0.333  0.667  0.000
Dy  0.667  0.333  0.000
Al  0.000  0.337  0.500
Al  0.000  0.663  0.500
Al  0.337  0.000  0.500
Al  0.337  0.337  0.500
Al  0.663  0.000  0.500
Al  0.663  0.663  0.500

***

No. 4
Theoretical X-ray powder pattern of LaDyAlPd for Cu Ka, from a DFT-relaxed cell (PBE, Alexandria).
Neutral-atom scattering factors, no anomalous dispersion.

Top 10 peaks for 2θ = 15–90°, sorted by position:
2θ/deg	I_rel
21.0	9
24.2	17
34.5	100
40.7	5
42.6	5
49.7	18
56.0	7
61.9	37
72.9	11
83.2	16

Atomic structure:
Lattice parameters (Å, degrees): 5.193 5.193 5.193 60.00 60.00 60.00
Fractional positions:
La  0.000  0.000  0.000
Dy  0.500  0.500  0.500
Al  0.250  0.250  0.250
Pd  0.750  0.750  0.750

***

No. 5
Theoretical X-ray powder pattern of LaDyAl2Zn2 for Cu Ka, from a DFT-relaxed cell (PBE, Alexandria).
Neutral-atom scattering factors, no anomalous dispersion.

Top 10 peaks for 2θ = 15–90°, sorted by position:
2θ/deg	I_rel
22.6	33
25.6	7
32.9	100
39.8	48
48.2	7
52.5	26
53.9	10
64.2	17
67.9	24
72.2	8

Atomic structure:
Lattice parameters (Å, degrees): 4.534 4.534 7.556 90.00 90.00 120.00
Fractional positions:
La  0.000  0.000  0.000
Dy  0.000  0.000  0.500
Al  0.333  0.667  0.722
Al  0.667  0.333  0.278
Zn  0.333  0.667  0.288
Zn  0.667  0.333  0.712

***

No. 6
Theoretical X-ray powder pattern of LiDy4Al2 for Cu Ka, from a DFT-relaxed cell (PBE, Alexandria).
Neutral-atom scattering factors, no anomalous dispersion.

Top 10 peaks for 2θ = 15–90°, sorted by position:
2θ/deg	I_rel
24.8	100
35.1	61
35.6	53
43.4	23
50.8	19
57.0	21
57.7	16
62.9	11
63.2	20
85.0	9

Atomic structure:
Lattice parameters (Å, degrees): 8.696 8.696 8.696 34.23 34.23 34.23
Fractional positions:
Li  0.000  0.000  0.000
Dy  0.130  0.130  0.130
Dy  0.383  0.383  0.383
Dy  0.617  0.617  0.617
Dy  0.870  0.870  0.870
Al  0.256  0.256  0.256
Al  0.744  0.744  0.744

***

No. 7
Theoretical X-ray powder pattern of LiDy3Al for Cu Ka, from a DFT-relaxed cell (PBE, Alexandria).
Neutral-atom scattering factors, no anomalous dispersion.

Top 10 peaks for 2θ = 15–90°, sorted by position:
2θ/deg	I_rel
25.2	60
26.8	26
33.6	100
35.3	49
44.9	26
50.8	18
56.9	18
58.8	13
62.3	34
79.7	14

Atomic structure:
Lattice parameters (Å, degrees): 10.295 10.295 5.082 90.00 90.00 151.41
Fractional positions:
Li  0.158  0.842  0.750
Li  0.842  0.158  0.250
Dy  0.063  0.937  0.250
Dy  0.250  0.750  0.250
Dy  0.436  0.564  0.250
Dy  0.564  0.436  0.750
Dy  0.750  0.250  0.750
Dy  0.937  0.063  0.750
Al  0.341  0.659  0.750
Al  0.659  0.341  0.250

***

No. 8
Theoretical X-ray powder pattern of LiDy8Al2 for Cu Ka, from a DFT-relaxed cell (PBE, Alexandria).
Neutral-atom scattering factors, no anomalous dispersion.

Top 10 peaks for 2θ = 15–90°, sorted by position:
2θ/deg	I_rel
21.8	29
23.2	28
28.5	46
31.1	61
31.5	100
32.9	22
33.5	60
35.1	58
37.6	20
58.7	25

Atomic structure:
Lattice parameters (Å, degrees): 9.280 9.280 6.830 102.51 102.51 32.03
Fractional positions:
Li  0.000  0.000  0.000
Dy  0.096  0.096  0.467
Dy  0.159  0.159  0.957
Dy  0.303  0.303  0.714
Dy  0.477  0.477  0.238
Dy  0.523  0.523  0.762
Dy  0.697  0.697  0.286
Dy  0.841  0.841  0.043
Dy  0.904  0.904  0.533
Al  0.307  0.307  0.270
Al  0.693  0.693  0.730

***

No. 9
Theoretical X-ray powder pattern of LiDy3Al12 for Cu Ka, from a DFT-relaxed cell (PBE, Alexandria).
Neutral-atom scattering factors, no anomalous dispersion.

Top 10 peaks for 2θ = 15–90°, sorted by position:
2θ/deg	I_rel
21.1	46
21.3	22
26.5	15
30.0	20
30.2	37
37.1	100
42.9	34
53.3	16
62.7	19
74.7	26

Atomic structure:
Lattice parameters (Å, degrees): 4.218 4.218 16.661 90.00 90.00 90.00
Fractional positions:
Li  0.000  0.000  0.000
Dy  0.000  0.000  0.242
Dy  0.000  0.000  0.500
Dy  0.000  0.000  0.758
Al  0.000  0.500  0.111
Al  0.000  0.500  0.371
Al  0.000  0.500  0.629
Al  0.000  0.500  0.889
Al  0.500  0.000  0.111
Al  0.500  0.000  0.371
Al  0.500  0.000  0.629
Al  0.500  0.000  0.889
Al  0.500  0.500  0.000
Al  0.500  0.500  0.246
Al  0.500  0.500  0.500
Al  0.500  0.500  0.754

***

No. 10
Theoretical X-ray powder pattern of Li3Dy2AlNi12 for Cu Ka, from a DFT-relaxed cell (PBE, Alexandria).
Neutral-atom scattering factors, no anomalous dispersion.

Top 10 peaks for 2θ = 15–90°, sorted by position:
2θ/deg	I_rel
28.8	11
29.2	16
35.0	100
46.0	14
49.9	42
50.8	34
62.4	16
74.0	10
83.9	13
85.2	9

Atomic structure:
Lattice parameters (Å, degrees): 7.197 7.197 7.197 61.00 61.00 61.00
Fractional positions:
Li  0.000  0.500  0.500
Li  0.500  0.000  0.500
Li  0.500  0.500  0.000
Dy  0.110  0.110  0.110
Dy  0.890  0.890  0.890
Al  0.500  0.500  0.500
Ni  0.106  0.642  0.642
Ni  0.130  0.130  0.619
Ni  0.130  0.619  0.130
Ni  0.358  0.358  0.894
Ni  0.358  0.894  0.358
Ni  0.381  0.870  0.870
Ni  0.619  0.130  0.130
Ni  0.642  0.106  0.642
Ni  0.642  0.642  0.106
Ni  0.870  0.381  0.870
Ni  0.870  0.870  0.381
Ni  0.894  0.358  0.358

***

No. 11
Theoretical X-ray powder pattern of LiDy2AlS5 for Cu Ka, from a DFT-relaxed cell (PBE, Alexandria).
Neutral-atom scattering factors, no anomalous dispersion.

Top 10 peaks for 2θ = 15–90°, sorted by position:
2θ/deg	I_rel
15.9	75
21.4	77
26.3	67
29.1	44
32.9	59
34.3	100
36.1	36
39.6	42
43.8	42
48.2	44

Atomic structure:
Lattice parameters (Å, degrees): 8.505 8.505 11.142 90.00 90.00 154.37
Fractional positions:
Li  0.214  0.786  0.500
Li  0.786  0.214  0.000
Dy  0.122  0.878  0.162
Dy  0.132  0.868  0.785
Dy  0.868  0.132  0.285
Dy  0.878  0.122  0.662
Al  0.430  0.570  0.938
Al  0.570  0.430  0.438
S  0.044  0.956  0.545
S  0.293  0.707  0.150
S  0.314  0.686  0.832
S  0.359  0.641  0.482
S  0.499  0.501  0.763
S  0.501  0.499  0.263
S  0.641  0.359  0.982
S  0.686  0.314  0.332
S  0.707  0.293  0.650
S  0.956  0.044  0.045

***

No. 12
Theoretical X-ray powder pattern of Li2DyAlSe4 for Cu Ka, from a DFT-relaxed cell (PBE, Alexandria).
Neutral-atom scattering factors, no anomalous dispersion.

Top 10 peaks for 2θ = 15–90°, sorted by position:
2θ/deg	I_rel
16.0	12
26.3	22
32.3	100
35.0	14
45.1	12
46.3	47
47.5	15
56.6	12
58.6	12
76.9	19

Atomic structure:
Lattice parameters (Å, degrees): 7.842 7.842 7.842 121.57 118.35 90.09
Fractional positions:
Li  0.000  0.000  0.000
Li  0.500  0.000  0.000
Li  0.500  0.000  0.500
Li  0.500  0.500  0.500
Dy  0.000  0.500  0.500
Dy  0.500  0.500  0.000
Al  0.000  0.000  0.500
Al  0.000  0.500  0.000
Se  0.216  0.244  0.972
Se  0.229  0.756  0.472
Se  0.244  0.235  0.491
Se  0.244  0.754  0.009
Se  0.756  0.246  0.991
Se  0.756  0.765  0.509
Se  0.771  0.244  0.528
Se  0.784  0.756  0.028

***

> Number 5 is which compound?

LaDyAl2Zn2